Diffraction record for SrYAs2O8. The powder diffractogram is computed, not measured: it uses a structure optimized by DFT (GGA-PBE) and Cu Ka.
No peak broadening, texture or thermal motion is included.

Peak list (6 most intense, 2θ = 10–80°, by angle)
28.72 deg, I = 100
30.31 deg, I = 16
34.68 deg, I = 18
46.72 deg, I = 29
52.87 deg, I = 18
58.56 deg, I = 26

Structural model:
```
SrYAs2O8
1.0
-2.5864 2.5864 5.8978
2.5864 -2.5864 5.8978
2.5864 2.5864 -5.8978
Sr Y As O
1 1 2 8
Direct
0.0000 0.0000 0.0000 Sr
0.2500 0.7500 0.5000 Y
0.5000 0.5000 0.0000 As
0.7500 0.2500 0.5000 As
0.2954 0.6670 0.1259 O
0.3330 0.4589 0.6284 O
0.4283 0.0290 0.1026 O
0.5411 0.1695 0.8741 O
0.6743 0.5717 0.6007 O
0.8305 0.7046 0.3716 O
0.9264 0.3257 0.8974 O
0.9710 0.0736 0.3993 O
```

***

Diffraction record for SrZn2AsO6. The powder diffractogram is computed, not measured: it uses a structure optimized by DFT (GGA-PBE) and Cu Ka.
No peak broadening, texture or thermal motion is included.

Peak list (6 most intense, 2θ = 10–80°, by angle)
26.55 deg, I = 86
28.77 deg, I = 84
29.31 deg, I = 82
30.19 deg, I = 100
32.65 deg, I = 49
35.11 deg, I = 58

Structural model:
```
SrZn2AsO6
1.0
5.4094 -4.8351 0.0000
5.4094 4.8351 0.0000
-3.4027 0.0000 5.7948
Sr Zn As O
2 4 2 12
Direct
0.1848 0.8152 0.7500 Sr
0.8152 0.1848 0.2500 Sr
0.2820 0.3786 0.8848 Zn
0.3786 0.2820 0.3848 Zn
0.6214 0.7180 0.6152 Zn
0.7180 0.6214 0.1152 Zn
0.1662 0.8338 0.2500 As
0.8338 0.1662 0.7500 As
0.0519 0.1730 0.7037 O
0.1646 0.6461 0.0019 O
0.1730 0.0519 0.2037 O
0.2922 0.4482 0.6321 O
0.3539 0.8354 0.4981 O
0.4482 0.2922 0.1321 O
0.5518 0.7078 0.8679 O
0.6461 0.1646 0.5019 O
0.7078 0.5518 0.3679 O
0.8270 0.9481 0.7963 O
0.8354 0.3539 0.9981 O
0.9481 0.8270 0.2963 O
```

***

Diffraction record for SrZn2As2O8. The powder diffractogram is computed, not measured: it uses a structure optimized by DFT (GGA-PBE) and Cu Ka.
No peak broadening, texture or thermal motion is included.

Peak list (6 most intense, 2θ = 10–80°, by angle)
20.34 deg, I = 60
21.74 deg, I = 56
26.09 deg, I = 91
28.62 deg, I = 64
28.87 deg, I = 68
33.77 deg, I = 100

Structural model:
```
SrZn2As2O8
1.0
8.7360 0.0000 0.0000
0.0000 9.9158 0.0000
-0.3237 0.0000 9.4206
Sr Zn As O
4 8 8 32
Direct
0.2466 0.0831 0.1148 Sr
0.2466 0.4169 0.6148 Sr
0.7534 0.5831 0.3852 Sr
0.7534 0.9169 0.8852 Sr
0.0754 0.6858 0.0498 Zn
0.0754 0.8142 0.5498 Zn
0.4277 0.0734 0.7199 Zn
0.4277 0.4266 0.2199 Zn
0.5723 0.5734 0.7801 Zn
0.5723 0.9266 0.2801 Zn
0.9246 0.1858 0.4502 Zn
0.9246 0.3142 0.9502 Zn
0.0606 0.0826 0.7503 As
0.0606 0.4174 0.2503 As
0.4486 0.7048 0.0631 As
0.4486 0.7952 0.5631 As
0.5514 0.2048 0.4369 As
0.5514 0.2952 0.9369 As
0.9394 0.5826 0.7497 As
0.9394 0.9174 0.2497 As
0.0206 0.0651 0.3109 O
0.0206 0.4349 0.8109 O
0.0600 0.6246 0.6148 O
0.0600 0.8754 0.1148 O
0.0713 0.2003 0.6174 O
0.0713 0.2997 0.1174 O
0.2397 0.0669 0.8326 O
0.2397 0.4331 0.3326 O
0.2817 0.6323 0.0021 O
0.2817 0.8677 0.5021 O
0.4186 0.2091 0.5686 O
0.4186 0.2909 0.0686 O
0.4266 0.6319 0.6215 O
0.4266 0.8681 0.1215 O
0.4720 0.1028 0.3041 O
0.4720 0.3972 0.8041 O
0.5280 0.6028 0.1959 O
0.5280 0.8972 0.6959 O
0.5734 0.1319 0.8785 O
0.5734 0.3681 0.3785 O
0.5814 0.7091 0.9314 O
0.5814 0.7909 0.4314 O
0.7183 0.1323 0.4979 O
0.7183 0.3677 0.9979 O
0.7603 0.5669 0.6674 O
0.7603 0.9331 0.1674 O
0.9287 0.7003 0.8826 O
0.9287 0.7997 0.3826 O
0.9400 0.1246 0.8852 O
0.9400 0.3754 0.3852 O
0.9794 0.5651 0.1891 O
0.9794 0.9349 0.6891 O
```

***

Diffraction record for TaAs2O8. The powder diffractogram is computed, not measured: it uses a structure optimized by DFT (GGA-PBE) and Cu Ka.
No peak broadening, texture or thermal motion is included.

Peak list (6 most intense, 2θ = 10–80°, by angle)
13.18 deg, I = 26
22.86 deg, I = 100
32.50 deg, I = 32
32.60 deg, I = 30
52.54 deg, I = 20
58.02 deg, I = 18

Structural model:
```
TaAs2O8
1.0
5.5100 0.0000 0.0000
-2.7550 4.7718 0.0000
0.0000 0.0000 6.7176
Ta As O
1 2 8
Direct
0.0000 0.0000 0.0000 Ta
0.3333 0.6667 0.2673 As
0.6667 0.3333 0.7327 As
0.1671 0.3343 0.1717 O
0.1671 0.8329 0.1717 O
0.3333 0.6667 0.5196 O
0.3343 0.1671 0.8283 O
0.6657 0.8329 0.1717 O
0.6667 0.3333 0.4804 O
0.8329 0.1671 0.8283 O
0.8329 0.6657 0.8283 O
```